(1)
# PaInSe3
Simulated X-ray powder pattern, Cu Kα. Input: a PBE-relaxed structure.

Structure:
a b c (Å): 8.1260 8.1260 8.1260
angles (deg): 54.17 54.17 54.17
Element x y z (fractional)
1 Pa 0.1633 0.1633 0.1633
2 Pa 0.8367 0.8367 0.8367
3 In 0.3680 0.3680 0.3680
4 In 0.6320 0.6320 0.6320
5 Se 0.0875 0.5809 0.0902
6 Se 0.0902 0.0875 0.5809
7 Se 0.4191 0.9125 0.9098
8 Se 0.5809 0.0902 0.0875
9 Se 0.9098 0.4191 0.9125
10 Se 0.9125 0.9098 0.4191

Most intense lines, 2θ from 5° to 70°, most intense first:
| Position (°2θ) | d [Å] | intensity |
| --- | --- | --- |
| 35.5 | 2.526 | 100 |
| 24.1 | 3.700 | 83 |
| 32.9 | 2.726 | 80 |
| 16.3 | 5.451 | 75 |
| 35.4 | 2.536 | 63 |
| 49.3 | 1.850 | 60 |
| 22.1 | 4.031 | 57 |
| 14.5 | 6.123 | 42 |
| 50.2 | 1.817 | 38 |
| 27.3 | 3.262 | 32 |



(2)
# PaTl2InSe4
Simulated X-ray powder pattern, Cu Kα. Input: a PBE-relaxed structure.

Structure:
a b c (Å): 7.8298 4.2874 7.8670
angles (deg): 90.00 107.74 90.00
Element x y z (fractional)
1 Pa 0.0000 0.0000 0.0000
2 Tl 0.0000 0.5000 0.5000
3 Tl 0.5000 0.0000 0.5000
4 In 0.5000 0.5000 0.0000
5 Se 0.2106 0.5000 0.2029
6 Se 0.2220 0.0000 0.7937
7 Se 0.7780 0.0000 0.2063
8 Se 0.7894 0.5000 0.7971

Most intense lines, 2θ from 5° to 70°, most intense first:
| Position (°2θ) | d [Å] | intensity |
| --- | --- | --- |
| 28.4 | 3.145 | 100 |
| 28.2 | 3.170 | 47 |
| 40.5 | 2.229 | 36 |
| 40.3 | 2.236 | 33 |
| 25.1 | 3.551 | 24 |
| 38.9 | 2.314 | 19 |
| 51.5 | 1.776 | 18 |
| 42.2 | 2.144 | 18 |
| 23.9 | 3.728 | 16 |
| 23.7 | 3.746 | 16 |



(3)
# Y2PaIn3Se6
Simulated X-ray powder pattern, Cu Kα. Input: a PBE-relaxed structure.

Structure:
a b c (Å): 7.1489 7.1489 8.2186
angles (deg): 98.33 98.33 119.97
Element x y z (fractional)
1 Y 0.1663 0.8337 0.0000
2 Y 0.8337 0.1663 0.0000
3 Pa 0.5000 0.5000 0.0000
4 In 0.0000 0.0000 0.5000
5 In 0.3309 0.6691 0.5000
6 In 0.6691 0.3309 0.5000
7 Se 0.0996 0.4306 0.7913
8 Se 0.2393 0.2393 0.2101
9 Se 0.4306 0.0996 0.7913
10 Se 0.5694 0.9004 0.2087
11 Se 0.7607 0.7607 0.7899
12 Se 0.9004 0.5694 0.2087

Most intense lines, 2θ from 5° to 70°, most intense first:
| Position (°2θ) | d [Å] | intensity |
| --- | --- | --- |
| 29.2 | 3.057 | 100 |
| 39.6 | 2.275 | 39 |
| 43.9 | 2.064 | 34 |
| 53.6 | 1.711 | 18 |
| 65.6 | 1.424 | 15 |
| 60.6 | 1.529 | 11 |
| 46.1 | 1.968 | 10 |
| 26.0 | 3.421 | 7 |
| 11.2 | 7.866 | 7 |
| 22.6 | 3.933 | 5 |